(1)
This entry pairs a crystal structure of Dy2Ni2B2AsC with its calculated powder diffraction line list. Radiation: Cu Kα, 1.54184 Å. Structure: a crystal structure in OQMD, relaxed with PBE.

Most intense lines, 2θ = 15–90°, sorted by position:
2theta, intensity
25.9, 69
32.9, 100
34.9, 59
35.0, 88
40.6, 74
47.3, 58
48.7, 30
58.8, 21
60.1, 47
79.8, 36

Structural model:
a b c (Å): 3.844 3.844 7.722
angles (deg): 90.00 90.00 90.00
Space group P4mm (No. 99)
One atom of each set of equivalent atoms:
Dy  0.000  0.000  0.000 (multiplicity 1)
Dy  0.500  0.500  0.341 (multiplicity 1)
Ni  0.000  0.500  0.707 (multiplicity 2)
B  0.000  0.000  0.637 (multiplicity 1)
B  0.500  0.500  0.843 (multiplicity 1)
As  0.000  0.000  0.369 (multiplicity 1)
C  0.500  0.500  0.037 (multiplicity 1)


(2)
This entry pairs a crystal structure of Cd2B3As3 with its calculated powder diffraction line list. Radiation: Cu Kα, 1.54184 Å. Structure: a crystal structure in OQMD, relaxed with PBE.

Most intense lines, 2θ = 15–90°, sorted by position:
2theta, intensity
32.9, 100
37.8, 35
39.0, 14
44.4, 5
54.5, 13
55.4, 23
65.1, 27
66.8, 10
69.0, 10
89.9, 6

Structural model:
a b c (Å): 3.369 3.369 23.101
angles (deg): 90.00 90.00 90.00
Space group I4/mmm (No. 139)
One atom of each set of equivalent atoms:
Cd  0.000  0.000  0.101 (multiplicity 4)
B  0.000  0.000  0.000 (multiplicity 2)
B  0.000  0.500  0.250 (multiplicity 4)
As  0.000  0.000  0.309 (multiplicity 4)
As  0.000  0.000  0.500 (multiplicity 2)


(3)
This entry pairs a crystal structure of Dy2TmCo2B2As3 with its calculated powder diffraction line list. Radiation: Cu Kα, 1.54184 Å. Structure: a crystal structure in OQMD, relaxed with PBE.

Most intense lines, 2θ = 15–90°, sorted by position:
2theta, intensity
25.7, 66
31.7, 72
32.4, 100
33.4, 40
36.2, 38
40.5, 92
46.0, 44
46.5, 72
57.4, 52
67.2, 30

Structural model:
a b c (Å): 3.906 3.906 22.600
angles (deg): 90.00 90.00 90.00
Space group I4/mmm (No. 139)
One atom of each set of equivalent atoms:
Dy  0.000  0.000  0.144 (multiplicity 4)
Tm  0.000  0.000  0.500 (multiplicity 2)
Co  0.000  0.500  0.250 (multiplicity 4)
B  0.000  0.000  0.282 (multiplicity 4)
As  0.000  0.000  0.000 (multiplicity 2)
As  0.000  0.000  0.377 (multiplicity 4)


(4)
This entry pairs a crystal structure of Sm2HoCo2B2As3 with its calculated powder diffraction line list. Radiation: Cu Kα, 1.54184 Å. Structure: a crystal structure in OQMD, relaxed with PBE.

Most intense lines, 2θ = 15–90°, sorted by position:
2theta, intensity
25.3, 59
31.6, 71
31.9, 100
32.9, 42
35.7, 43
40.0, 96
45.5, 42
45.7, 74
56.6, 53
66.7, 54

Structural model:
a b c (Å): 3.970 3.970 22.655
angles (deg): 90.00 90.00 90.00
Space group I4/mmm (No. 139)
One atom of each set of equivalent atoms:
Sm  0.000  0.000  0.144 (multiplicity 4)
Ho  0.000  0.000  0.500 (multiplicity 2)
Co  0.000  0.500  0.250 (multiplicity 4)
B  0.000  0.000  0.282 (multiplicity 4)
As  0.000  0.000  0.000 (multiplicity 2)
As  0.000  0.000  0.375 (multiplicity 4)


(5)
This entry pairs a crystal structure of PrNd2Co2B2As3 with its calculated powder diffraction line list. Radiation: Cu Kα, 1.54184 Å. Structure: a crystal structure in OQMD, relaxed with PBE.

Most intense lines, 2θ = 15–90°, sorted by position:
2theta, intensity
24.8, 46
31.1, 99
31.4, 71
32.1, 39
34.9, 44
39.3, 100
44.5, 76
44.7, 42
55.5, 54
65.8, 34

Structural model:
a b c (Å): 4.069 4.069 22.826
angles (deg): 90.00 90.00 90.00
Space group I4/mmm (No. 139)
One atom of each set of equivalent atoms:
Pr  0.000  0.000  0.000 (multiplicity 2)
Nd  0.000  0.000  0.356 (multiplicity 4)
Co  0.000  0.500  0.250 (multiplicity 4)
B  0.000  0.000  0.220 (multiplicity 4)
As  0.000  0.000  0.128 (multiplicity 4)
As  0.000  0.000  0.500 (multiplicity 2)


(6)
This entry pairs a crystal structure of Pr2NdCo2B2As3 with its calculated powder diffraction line list. Radiation: Cu Kα, 1.54184 Å. Structure: a crystal structure in OQMD, relaxed with PBE.

Most intense lines, 2θ = 15–90°, sorted by position:
2theta, intensity
24.7, 45
31.0, 100
31.3, 73
32.0, 41
34.8, 43
39.1, 99
44.4, 77
44.6, 43
55.3, 56
65.7, 33

Structural model:
a b c (Å): 4.085 4.085 22.855
angles (deg): 90.00 90.00 90.00
Space group I4/mmm (No. 139)
One atom of each set of equivalent atoms:
Pr  0.000  0.000  0.143 (multiplicity 4)
Nd  0.000  0.000  0.500 (multiplicity 2)
Co  0.000  0.500  0.250 (multiplicity 4)
B  0.000  0.000  0.280 (multiplicity 4)
As  0.000  0.000  0.000 (multiplicity 2)
As  0.000  0.000  0.372 (multiplicity 4)